Structure and calculated powder XRD pattern of Ba2AlSnS6 (DFT lattice parameters and positions (PBE); CuKα).
No peak broadening, texture or thermal motion is included.

Structure:
a = 6.9036 Å, b = 6.9036 Å, c = 35.8950 Å
α = 90.00°, β = 90.00°, γ = 120.00°
Space group R-3m (No. 166, hexagonal axes)
Inequivalent atoms, fractional coordinates:
Ba 0.0000 0.0000 0.1200 x6
Ba 0.0000 0.0000 0.2946 x6
Al 0.0000 0.0000 0.0000 x3
Al 0.0000 0.0000 0.5000 x3
Sn 0.0000 0.0000 0.4152 x6
S 0.0041 0.5020 0.1257 x18
S 0.0114 0.5057 0.7064 x18

The 12 most intense peaks (2θ = 10–90°), sorted by position:
(1 0 7), 22.85 deg, I = 64; (1 1 0), 25.81 deg, I = 100; (1 0 10), 29.01 deg, I = 33; (0 0 12), 29.88 deg, I = 32; (2 0 5), 32.44 deg, I = 41; (0 2 7), 34.74 deg, I = 82; (0 2 10), 39.22 deg, I = 34; (2 1 7), 43.78 deg, I = 23; (3 0 0), 45.54 deg, I = 42; (2 2 0), 53.08 deg, I = 74; (4 1 0), 72.46 deg, I = 23; (2 2 24), 86.01 deg, I = 20